No. 1
Starting from the PBE+U geometry in the Materials Project, the PXRD pattern of Li2FePCO7 was simulated for Cu Kα (weighted mean of Kα1 and Kα2).
Intensities are scaled so that the largest is 100.

Most intense lines, 2θ from 15° to 90°, by angle:
| 2theta | I (rel.) | (hkl) |
| --- | --- | --- |
| 17.32 | 67 | 0 1 1 |
| 19.74 | 42 | 1 0 -1 |
| 20.91 | 47 | 1 0 1 |
| 22.33 | 29 | 1 1 0 |
| 25.16 | 28 | 1 1 1 |
| 26.38 | 61 | 1 0 -2 |
| 27.87 | 100 | 0 2 0 |
| 35.09 | 29 | 1 0 -3 |
| 35.31 | 25 | 2 0 0 |
| 57.61 | 31 | 0 4 0 |

```
data_Li2FePCO7
_cell_length_a 5.0940
_cell_length_b 6.4016
_cell_length_c 8.5534
_cell_angle_alpha 90.00
_cell_angle_beta 93.72
_cell_angle_gamma 90.00
_symmetry_space_group_name_H-M 'P 1 21/m 1'
_symmetry_Int_Tables_number 11
_symmetry_space_group_name_Hall '-P 2yb'
loop_
_atom_site_label
_atom_site_type_symbol
_atom_site_fract_x
_atom_site_fract_y
_atom_site_fract_z
_atom_site_occupancy
Li1 Li 0.2148 0.0126 0.2879 1
Fe1 Fe 0.2138 0.7500 0.8532 1
P1 P 0.2726 0.2500 0.9243 1
C1 C 0.2571 0.7500 0.5598 1
O1 O 0.0261 0.7500 0.6198 1
O2 O 0.1691 0.2500 0.0920 1
O3 O 0.1720 0.0570 0.8310 1
O4 O 0.2861 0.7500 0.4141 1
O5 O 0.4206 0.7500 0.0554 1
O6 O 0.4579 0.7500 0.6660 1
```

=====

No. 2
Starting from the PBE+U geometry in the Materials Project, the PXRD pattern of Li9Mn2Co5O16 was simulated for Cu Kα (weighted mean of Kα1 and Kα2).
Intensities are scaled so that the largest is 100.

Most intense lines, 2θ from 15° to 90°, by angle:
| 2theta | I (rel.) | (hkl) |
| --- | --- | --- |
| 18.29 | 100 | 2 0 2 |
| 35.51 | 14 | 4 0 -4 |
| 36.35 | 24 | 1 1 -3 |
| 42.93 | 27 | 6 0 -2 |
| 43.94 | 53 | 1 1 5 |
| 47.69 | 9 | 5 1 1 |
| 57.74 | 10 | 3 1 7 |
| 62.90 | 14 | 7 1 3 |
| 63.32 | 13 | 5 1 -7 |
| 64.72 | 7 | 0 2 0 |

```
data_Li9Mn2Co5O16
_cell_length_a 13.0056
_cell_length_b 2.8806
_cell_length_c 15.3009
_cell_angle_alpha 90.00
_cell_angle_beta 92.39
_cell_angle_gamma 90.00
_symmetry_space_group_name_H-M 'C 1 2/m 1'
_symmetry_Int_Tables_number 12
_symmetry_space_group_name_Hall '-C 2y'
loop_
_atom_site_label
_atom_site_type_symbol
_atom_site_fract_x
_atom_site_fract_y
_atom_site_fract_z
_atom_site_occupancy
Li1 Li 0.0000 0.0000 0.0000 1
Li2 Li 0.0619 0.0000 0.1821 1
Li3 Li 0.0631 0.5000 0.6869 1
Li4 Li 0.1838 0.0000 0.5642 1
Li5 Li 0.1852 0.5000 0.0568 1
Mn1 Mn 0.2475 0.0000 0.7509 1
Co1 Co 0.0000 0.5000 0.5000 1
Co2 Co 0.1102 0.5000 0.8837 1
Co3 Co 0.1247 0.0000 0.3765 1
O1 O 0.0249 0.5000 0.0993 1
O2 O 0.0294 0.0000 0.5902 1
O3 O 0.1069 0.5000 0.2908 1
O4 O 0.1079 0.0000 0.7850 1
O5 O 0.1522 0.5000 0.4592 1
O6 O 0.1562 0.0000 0.9619 1
O7 O 0.2196 0.0000 0.1700 1
O8 O 0.2200 0.5000 0.6667 1
```

=====

No. 3
Starting from the PBE+U geometry in the Materials Project, the PXRD pattern of Ti5MnP6O24 was simulated for Cu Kα (weighted mean of Kα1 and Kα2).
Intensities are scaled so that the largest is 100.

Most intense lines, 2θ from 15° to 90°, by angle:
| 2theta | I (rel.) | (hkl) |
| --- | --- | --- |
| 20.31 | 55 | 1 1 0 |
| 24.17 | 100 | 1 1 3 |
| 25.07 | 13 | 2 0 2 |
| 31.56 | 15 | 2 1 1 |
| 33.31 | 53 | 1 1 6 |
| 35.56 | 30 | 3 0 0 |
| 47.67 | 23 | 1 2 8 |
| 49.52 | 21 | 2 2 6 |
| 55.60 | 18 | 1 4 0 |
| 62.43 | 15 | 4 1 6 |

```
data_Ti5MnP6O24
_cell_length_a 8.7462
_cell_length_b 8.7462
_cell_length_c 20.4661
_cell_angle_alpha 90.00
_cell_angle_beta 90.00
_cell_angle_gamma 120.00
_symmetry_space_group_name_H-M 'R 3'
_symmetry_Int_Tables_number 146
_symmetry_space_group_name_Hall 'R 3'
loop_
_atom_site_label
_atom_site_type_symbol
_atom_site_fract_x
_atom_site_fract_y
_atom_site_fract_z
_atom_site_occupancy
Ti1 Ti 0.0000 0.0000 0.0000 1
Ti2 Ti 0.0000 0.0000 0.1416 1
Ti3 Ti 0.0000 0.0000 0.4985 1
Ti4 Ti 0.0000 0.0000 0.6417 1
Ti5 Ti 0.0000 0.0000 0.7865 1
Mn1 Mn 0.0000 0.0000 0.2888 1
P1 P 0.9997 0.7061 0.8912 1
P2 P 0.0006 0.2981 0.3915 1
O1 O 0.0078 0.1964 0.4521 1
O2 O 0.0105 0.8112 0.9529 1
O3 O 0.0106 0.1795 0.0703 1
O4 O 0.0174 0.8334 0.5680 1
O5 O 0.1250 0.4511 0.9951 1
O6 O 0.1565 0.6900 0.4982 1
O7 O 0.1610 0.6840 0.8763 1
O8 O 0.1640 0.4911 0.3856 1
```